AlGaTcH6: calculated powder diffractogram (copper Kα), based on a crystal structure in OQMD, relaxed with PBE.
Peak positions follow from Bragg's law for the DFT cell and can differ from measured ones.

Largest 6 diffraction maxima, sorted by position, 2θ = 15–90°:
2θ = 23.94°, I = 77; 2θ = 39.60°, I = 100; 2θ = 46.81°, I = 38; 2θ = 57.24°, I = 18; 2θ = 62.93°, I = 16; 2θ = 71.84°, I = 33

Structure:
```
data_AlGaTcH6
_cell_length_a 6.437
_cell_length_b 6.437
_cell_length_c 6.437
_cell_angle_alpha 90.00
_cell_angle_beta 90.00
_cell_angle_gamma 90.00
_symmetry_space_group_name_H-M 'F -4 3 m'
_symmetry_Int_Tables_number 216
_symmetry_space_group_name_Hall 'F -4 2 3'
loop_
_atom_site_label
_atom_site_type_symbol
_atom_site_fract_x
_atom_site_fract_y
_atom_site_fract_z
Al1 Al 0.000 0.000 0.000
Ga1 Ga 0.000 0.000 0.500
Tc1 Tc 0.250 0.250 0.250
H1 H 0.021 0.250 0.750
```


AlGaH6W: calculated powder diffractogram (copper Kα), based on a crystal structure in OQMD, relaxed with PBE.
Peak positions follow from Bragg's law for the DFT cell and can differ from measured ones.

Largest 6 diffraction maxima, sorted by position, 2θ = 15–90°:
2θ = 24.21°, I = 90; 2θ = 28.02°, I = 28; 2θ = 40.05°, I = 100; 2θ = 47.34°, I = 47; 2θ = 63.70°, I = 19; 2θ = 72.75°, I = 34

Structure:
```
data_AlGaH6W
_cell_length_a 6.368
_cell_length_b 6.368
_cell_length_c 6.368
_cell_angle_alpha 90.00
_cell_angle_beta 90.00
_cell_angle_gamma 90.00
_symmetry_space_group_name_H-M 'F -4 3 m'
_symmetry_Int_Tables_number 216
_symmetry_space_group_name_Hall 'F -4 2 3'
loop_
_atom_site_label
_atom_site_type_symbol
_atom_site_fract_x
_atom_site_fract_y
_atom_site_fract_z
Al1 Al 0.000 0.000 0.000
Ga1 Ga 0.250 0.250 0.750
H1 H 0.038 0.250 0.250
W1 W 0.000 0.000 0.500
```


Hf2AlGa2: calculated powder diffractogram (copper Kα), based on a crystal structure in OQMD, relaxed with PBE.
Peak positions follow from Bragg's law for the DFT cell and can differ from measured ones.

Largest 6 diffraction maxima, sorted by position, 2θ = 15–90°:
2θ = 31.99°, I = 41; 2θ = 35.50°, I = 39; 2θ = 37.56°, I = 87; 2θ = 38.26°, I = 40; 2θ = 38.38°, I = 44; 2θ = 40.46°, I = 100

Structure:
```
data_Hf2AlGa2
_cell_length_a 9.423
_cell_length_b 13.911
_cell_length_c 5.429
_cell_angle_alpha 90.00
_cell_angle_beta 90.00
_cell_angle_gamma 90.00
_symmetry_space_group_name_H-M 'F d d 2'
_symmetry_Int_Tables_number 43
_symmetry_space_group_name_Hall 'F 2 -2d'
loop_
_atom_site_label
_atom_site_type_symbol
_atom_site_fract_x
_atom_site_fract_y
_atom_site_fract_z
Hf1 Hf 0.071 0.302 0.000
Al1 Al 0.000 0.000 0.349
Ga1 Ga 0.070 0.382 0.487
```